Structure and theoretical PXRD pattern of ErZnGa (a crystal structure in the Materials Project, relaxed with PBE; CuKα).
No peak broadening, texture or thermal motion is included.

Most intense lines, 15° ≤ 2θ ≤ 90°, sorted by position:
(hkl)  2theta  I_rel
1 0 0  23.31  20
1 0 2  34.56  100
1 1 0  40.96  53
2 0 0  47.65  3
0 0 4  51.66  9
2 0 2  54.64  27
1 0 4  57.40  4
1 1 4  67.94  23
2 1 2  70.49  25
3 0 0  74.60  9
1 0 6  86.32  7
2 2 0  88.81  6

Structural model:
Cell: 4.4071 4.4071 7.0780 Å, 90.00 90.00 120.00°
Space group P6_3/mmc (No. 194)
Symmetry-distinct sites (fractional):
Er  0.0000  0.0000  0.0000
Zn  0.3333  0.6667  0.2500
Ga  0.3333  0.6667  0.7500


Structure and theoretical PXRD pattern of Er2ZnGa (a crystal structure in the Materials Project, relaxed with PBE; CuKα).
No peak broadening, texture or thermal motion is included.

Most intense lines, 15° ≤ 2θ ≤ 90°, sorted by position:
(hkl)  2theta  I_rel
2 0 0  25.17  19
2 2 0  35.90  100
2 2 2  44.35  6
4 0 0  51.67  18
4 2 0  58.32  8
4 2 2  64.52  36
4 4 0  76.09  11
6 0 0  81.64  4
6 2 0  87.11  16

Structural model:
Cell: 7.076 7.076 7.076 Å, 90.00 90.00 90.00°
Space group Fm-3m (No. 225)
Symmetry-distinct sites (fractional):
Er  0.250  0.250  0.250
Zn  0.000  0.000  0.000
Ga  0.000  0.000  0.500


Structure and theoretical PXRD pattern of ErZnGa (a crystal structure in the Materials Project, relaxed with PBE; CuKα).
No peak broadening, texture or thermal motion is included.

Most intense lines, 15° ≤ 2θ ≤ 90°, sorted by position:
(hkl)  2theta  I_rel
1 0 0  23.33  22
1 0 2  34.62  100
1 1 0  41.00  56
1 0 3  45.27  5
0 0 4  51.78  7
2 0 2  54.71  27
1 0 4  57.52  6
1 1 4  68.07  18
2 1 2  70.58  25
3 0 0  74.68  9
1 0 6  86.54  5
2 2 0  88.91  6

Structural model:
Cell: 4.4030 4.4030 7.0624 Å, 90.00 90.00 120.00°
Space group P6_3mc (No. 186)
Symmetry-distinct sites (fractional):
Er  0.0000  0.0000  0.0000
Zn  0.3333  0.6667  0.2138
Ga  0.3333  0.6667  0.7810


Structure and theoretical PXRD pattern of GdEr3 (a crystal structure in the Materials Project, relaxed with PBE; CuKα).
No peak broadening, texture or thermal motion is included.

Most intense lines, 15° ≤ 2θ ≤ 90°, sorted by position:
(hkl)  2theta  I_rel
2 0 0  28.76  24
0 0 2  31.67  25
2 0 1  32.92  100
2 0 2  43.30  16
2 2 0  50.95  20
2 0 3  57.21  21
2 2 2  61.25  23
4 0 1  62.00  16
4 0 2  69.04  4
4 0 3  80.12  8
4 2 1  84.29  14
2 2 4  88.04  9

Structural model:
Cell: 7.1693 7.1693 5.6502 Å, 90.00 90.00 120.00°
Space group P6_3/mmc (No. 194)
Symmetry-distinct sites (fractional):
Gd  0.3333  0.6667  0.2500
Er  0.1661  0.3322  0.7500


Structure and theoretical PXRD pattern of GdErHg2 (a crystal structure in the Materials Project, relaxed with PBE; CuKα).
No peak broadening, texture or thermal motion is included.

Most intense lines, 15° ≤ 2θ ≤ 90°, sorted by position:
(hkl)  2theta  I_rel
2 0 0  23.88  1
2 2 0  34.03  100
4 0 0  48.88  18
4 2 0  55.11  1
4 2 2  60.90  38
4 4 0  71.63  12
6 2 0  81.72  17

Structural model:
Cell: 7.453 7.453 7.453 Å, 90.00 90.00 90.00°
Space group Fm-3m (No. 225)
Symmetry-distinct sites (fractional):
Gd  0.000  0.000  0.000
Er  0.000  0.000  0.500
Hg  0.250  0.250  0.250


Structure and theoretical PXRD pattern of GdErIn2 (a crystal structure in the Materials Project, relaxed with PBE; CuKα).
No peak broadening, texture or thermal motion is included.

Most intense lines, 15° ≤ 2θ ≤ 90°, sorted by position:
(hkl)  2theta  I_rel
2 0 0  23.42  3
2 2 0  33.36  100
2 2 2  41.16  1
4 0 0  47.90  18
4 2 0  53.98  1
4 2 2  59.62  37
4 4 0  70.07  11
6 0 0  75.02  1
6 2 0  79.85  16
4 4 4  89.35  4

Structural model:
Cell: 7.597 7.597 7.597 Å, 90.00 90.00 90.00°
Space group Fm-3m (No. 225)
Symmetry-distinct sites (fractional):
Gd  0.000  0.000  0.000
Er  0.000  0.000  0.500
In  0.250  0.250  0.250


Structure and theoretical PXRD pattern of Gd3ErNi4 (a crystal structure in the Materials Project, relaxed with PBE; CuKα).
No peak broadening, texture or thermal motion is included.

Most intense lines, 15° ≤ 2θ ≤ 90°, sorted by position:
(hkl)  2theta  I_rel
0 1 2  27.38  39
1 1 1  33.08  100
0 0 4  35.16  25
1 0 3  35.60  42
0 1 4  41.31  16
1 1 3  41.70  49
0 2 0  42.75  28
2 0 0  48.49  19
0 2 4  56.54  24
1 2 3  56.82  22
1 0 7  69.09  15
2 2 4  77.59  18

Structural model:
Cell: 3.755 4.230 10.210 Å, 90.00 90.00 90.00°
Space group Pmm2 (No. 25)
Symmetry-distinct sites (fractional):
Gd  0.000  0.000  0.000
Gd  0.000  0.500  0.281
Gd  0.500  0.500  0.774
Er  0.500  0.000  0.500
Ni  0.000  0.000  0.705
Ni  0.000  0.500  0.564
Ni  0.500  0.000  0.212
Ni  0.500  0.500  0.067


Structure and theoretical PXRD pattern of ErGe3 (a crystal structure in the Materials Project, relaxed with PBE; CuKα).
No peak broadening, texture or thermal motion is included.

Most intense lines, 15° ≤ 2θ ≤ 90°, sorted by position:
(hkl)  2theta  I_rel
0 2 1  24.19  18
1 5 0  30.95  22
1 3 1  34.42  100
0 8 0  34.56  27
1 5 1  38.67  41
0 8 1  41.70  15
1 7 1  44.39  11
2 0 0  45.08  23
0 0 2  46.14  21
2 8 0  58.02  12
0 8 2  58.92  16
2 0 2  66.48  14

Structural model:
Cell: 4.023 20.757 3.935 Å, 90.00 90.00 90.00°
Space group Cmcm (No. 63)
Symmetry-distinct sites (fractional):
Er  0.000  0.082  0.250
Ge  0.000  0.191  0.750
Ge  0.000  0.311  0.750
Ge  0.000  0.460  0.250


Structure and theoretical PXRD pattern of Er5Ge3 (a crystal structure in the Materials Project, relaxed with PBE; CuKα).
No peak broadening, texture or thermal motion is included.

Most intense lines, 15° ≤ 2θ ≤ 90°, sorted by position:
(hkl)  2theta  I_rel
2 0 0  24.40  8
1 0 2  30.75  19
2 1 0  32.46  22
1 1 2  35.47  100
3 0 0  36.96  21
2 2 2  52.13  13
2 1 3  54.72  16
3 2 1  56.89  7
4 1 0  57.92  8
4 0 2  58.37  12
5 0 2  71.12  7
3 3 2  73.82  8

Structural model:
Cell: 8.4254 8.4254 6.3400 Å, 90.00 90.00 120.00°
Space group P6_3/mcm (No. 193)
Symmetry-distinct sites (fractional):
Er  0.0000  0.2414  0.2500
Er  0.3333  0.6667  0.0000
Ge  0.0000  0.3940  0.7500


Structure and theoretical PXRD pattern of Er3Ge4 (a crystal structure in the Materials Project, relaxed with PBE; CuKα).
No peak broadening, texture or thermal motion is included.

Most intense lines, 15° ≤ 2θ ≤ 90°, sorted by position:
(hkl)  2theta  I_rel
0 2 3  25.18  22
1 1 2  26.75  27
0 2 4  30.26  52
1 3 0  33.68  81
0 4 1  34.35  40
1 1 4  34.66  100
0 0 6  37.95  26
1 3 3  38.81  34
0 4 4  42.47  36
2 0 0  44.92  35
1 3 6  51.64  22
1 7 7  82.97  16

Structural model:
Cell: 4.036 10.619 14.226 Å, 90.00 90.00 90.00°
Space group Cmcm (No. 63)
Symmetry-distinct sites (fractional):
Er  0.000  0.048  0.250
Er  0.000  0.331  0.097
Ge  0.000  0.000  0.000
Ge  0.000  0.223  0.750
Ge  0.000  0.380  0.608


Structure and theoretical PXRD pattern of Er3Ge (a crystal structure in the Materials Project, relaxed with PBE; CuKα).
No peak broadening, texture or thermal motion is included.

Most intense lines, 15° ≤ 2θ ≤ 90°, sorted by position:
(hkl)  2theta  I_rel
0 0 2  17.41  3
1 0 1  21.72  7
1 1 2  33.38  100
0 0 4  35.23  22
2 0 0  40.38  30
2 0 4  54.65  25
2 2 0  58.44  10
1 1 6  62.05  17
3 1 2  68.99  25
2 2 4  70.11  12
4 0 0  87.32  3
2 0 8  88.34  7

Structural model:
Cell: 4.467 4.467 10.189 Å, 90.00 90.00 90.00°
Space group I4/mmm (No. 139)
Symmetry-distinct sites (fractional):
Er  0.000  0.000  0.000
Er  0.000  0.500  0.250
Ge  0.000  0.000  0.500


Structure and theoretical PXRD pattern of Er5Ge4 (a crystal structure in the Materials Project, relaxed with PBE; CuKα).
No peak broadening, texture or thermal motion is included.

Most intense lines, 15° ≤ 2θ ≤ 90°, sorted by position:
(hkl)  2theta  I_rel
2 0 1  26.31  24
1 3 2  31.99  100
2 3 1  32.23  58
2 0 2  33.30  36
0 4 2  33.91  60
2 4 0  34.22  28
1 5 1  35.01  28
2 4 1  36.22  49
0 6 0  37.02  35
3 0 1  37.63  89
4 3 1  53.46  28
3 4 3  57.25  27

Structural model:
Cell: 7.542 14.575 7.680 Å, 90.00 90.00 90.00°
Space group Pnma (No. 62)
Symmetry-distinct sites (fractional):
Er  0.017  0.097  0.183
Er  0.132  0.619  0.338
Er  0.206  0.250  0.499
Ge  0.072  0.250  0.883
Ge  0.175  0.750  0.640
Ge  0.212  0.044  0.535